Entry 1:
For SnBi7Pb12, the PBE geometry in Alexandria gives the simulated powder XRD pattern in this record (CuKα).
No peak broadening, texture or thermal motion is included.

Most intense lines, 2θ from 10° to 90°, in order of rising 2θ:
2θ (°)	d/Å	I/Imax
28.8	3.100	32
31.7	2.826	100
33.5	2.674	38
35.7	2.518	27
41.5	2.175	20
51.6	1.771	18
56.4	1.632	16
63.8	1.459	14

Atomic structure:
Cell: 9.2811 9.2811 9.2811 Å, 107.34 107.34 107.34°
Positions (direct):
Sn1 0.0000 0.0000 0.0000
Bi1 0.0455 0.3418 0.9272
Bi2 0.0728 0.9545 0.6582
Bi3 0.3418 0.9272 0.0455
Bi4 0.5000 0.5000 0.5000
Bi5 0.6582 0.0728 0.9545
Bi6 0.9272 0.0455 0.3418
Bi7 0.9545 0.6582 0.0728
Pb1 0.0124 0.3985 0.2891
Pb2 0.2340 0.3846 0.6675
Pb3 0.2891 0.0124 0.3985
Pb4 0.3325 0.7660 0.6154
Pb5 0.3846 0.6675 0.2340
Pb6 0.3985 0.2891 0.0124
Pb7 0.6015 0.7109 0.9876
Pb8 0.6154 0.3325 0.7660
Pb9 0.6675 0.2340 0.3846
Pb10 0.7109 0.9876 0.6015
Pb11 0.7660 0.6154 0.3325
Pb12 0.9876 0.6015 0.7109

Entry 2:
For Li3H3Pd2, the PBE geometry in Alexandria gives the simulated powder XRD pattern in this record (CuKα).
No peak broadening, texture or thermal motion is included.

Most intense lines, 2θ from 10° to 90°, in order of rising 2θ:
2θ (°)	d/Å	I/Imax
20.5	4.329	100
26.6	3.351	73
35.6	2.521	20
36.8	2.442	79
39.9	2.260	29
41.4	2.179	22
47.6	1.909	38
51.4	1.777	16

Atomic structure:
Cell: 4.7470 4.7470 10.0851 Å, 90.00 90.00 131.53°
Positions (direct):
Li1 0.0481 0.9519 0.6191
Li2 0.0481 0.9519 0.8809
Li3 0.3673 0.6327 0.7500
Li4 0.6327 0.3673 0.2500
Li5 0.9519 0.0481 0.1191
Li6 0.9519 0.0481 0.3809
H1 0.2654 0.7346 0.5784
H2 0.2654 0.7346 0.9216
H3 0.3800 0.6200 0.2500
H4 0.6200 0.3800 0.7500
H5 0.7346 0.2654 0.0784
H6 0.7346 0.2654 0.4216
Pd1 0.2599 0.7401 0.1031
Pd2 0.2599 0.7401 0.3969
Pd3 0.7401 0.2599 0.6031
Pd4 0.7401 0.2599 0.8969

Entry 3:
For Nd2Dy4ErTm2, the PBE geometry in Alexandria gives the simulated powder XRD pattern in this record (CuKα).
No peak broadening, texture or thermal motion is included.

Most intense lines, 2θ from 10° to 90°, in order of rising 2θ:
2θ (°)	d/Å	I/Imax
29.8	2.993	41
31.5	2.841	59
31.9	2.803	100
32.4	2.763	95
48.3	1.886	18
56.0	1.641	20
56.9	1.617	19
58.8	1.571	19

Atomic structure:
Cell: 5.9897 6.6130 8.5752 Å, 79.66 70.11 64.82°
Positions (direct):
Nd1 0.2335 0.3232 0.3424
Nd2 0.7665 0.6768 0.6576
Dy1 0.1138 0.1268 0.7642
Dy2 0.2408 0.5725 0.8834
Dy3 0.7592 0.4275 0.1166
Dy4 0.8862 0.8732 0.2358
Er1 0.5000 0.0000 0.0000
Tm1 0.3211 0.7711 0.4458
Tm2 0.6789 0.2289 0.5542

Entry 4:
For Sr2Pd5Pt2Au, the PBE geometry in Alexandria gives the simulated powder XRD pattern in this record (CuKα).
No peak broadening, texture or thermal motion is included.

Most intense lines, 2θ from 10° to 90°, in order of rising 2θ:
2θ (°)	d/Å	I/Imax
20.0	4.444	24
34.0	2.635	19
36.4	2.467	100
37.3	2.410	17
39.8	2.266	37
42.9	2.108	11
45.6	1.991	22
62.7	1.482	12

Atomic structure:
Cell: 9.9365 9.9365 3.9828 Å, 90.00 90.00 90.00°
Positions (direct):
Sr1 0.1735 0.3265 0.0000
Sr2 0.3265 0.8265 0.0000
Sr3 0.6735 0.1735 0.0000
Sr4 0.8265 0.6735 0.0000
Pd1 0.0000 0.5000 0.5000
Pd2 0.0602 0.8009 0.5000
Pd3 0.1991 0.0602 0.5000
Pd4 0.3009 0.5602 0.5000
Pd5 0.4398 0.3009 0.5000
Pd6 0.5000 0.0000 0.5000
Pd7 0.5602 0.6991 0.5000
Pd8 0.6991 0.4398 0.5000
Pd9 0.8009 0.9398 0.5000
Pd10 0.9398 0.1991 0.5000
Pt1 0.1254 0.6254 0.0000
Pt2 0.3746 0.1254 0.0000
Pt3 0.6254 0.8746 0.0000
Pt4 0.8746 0.3746 0.0000
Au1 0.0000 0.0000 0.0000
Au2 0.5000 0.5000 0.0000

Entry 5:
For Nd5Cd, the PBE geometry in Alexandria gives the simulated powder XRD pattern in this record (CuKα).
No peak broadening, texture or thermal motion is included.

Most intense lines, 2θ from 10° to 90°, in order of rising 2θ:
2θ (°)	d/Å	I/Imax
30.4	2.944	95
31.1	2.872	100
32.6	2.743	96
41.1	2.195	17
47.9	1.898	17
53.5	1.714	29
56.4	1.632	23
57.8	1.595	30

Atomic structure:
Cell: 6.6230 6.6230 8.7799 Å, 109.40 109.40 33.31°
Positions (direct):
Nd1 0.0000 0.0000 0.0000
Nd2 0.0032 0.0032 0.5832
Nd3 0.2992 0.2992 0.6990
Nd4 0.3330 0.3330 0.2095
Nd5 0.6356 0.6356 0.3500
Cd1 0.6807 0.6807 0.8998

Entry 6:
For Hg5Cl2O4, the PBE geometry in Alexandria gives the simulated powder XRD pattern in this record (CuKα).
No peak broadening, texture or thermal motion is included.

Most intense lines, 2θ from 10° to 90°, in order of rising 2θ:
2θ (°)	d/Å	I/Imax
21.9	4.056	52
26.6	3.351	35
29.7	3.004	58
30.5	2.928	100
32.4	2.767	85
40.3	2.237	28
53.3	1.719	20
54.5	1.685	23

Atomic structure:
Cell: 9.0201 9.0201 9.0201 Å, 139.56 97.26 96.46°
Positions (direct):
Hg1 0.0911 0.7500 0.3411
Hg2 0.1387 0.2160 0.3547
Hg3 0.2500 0.2500 0.0000
Hg4 0.3613 0.7160 0.0773
Hg5 0.4089 0.7500 0.6589
Hg6 0.5911 0.2500 0.3411
Hg7 0.6387 0.2840 0.9227
Hg8 0.7500 0.7500 0.0000
Hg9 0.8613 0.7840 0.6453
Hg10 0.9089 0.2500 0.6589
Cl1 0.1092 0.7292 0.8385
Cl2 0.3908 0.2292 0.6200
Cl3 0.6092 0.7708 0.3800
Cl4 0.8908 0.2708 0.1615
O1 0.0296 0.9759 0.6546
O2 0.1787 0.5241 0.0537
O3 0.3213 0.3750 0.3454
O4 0.4704 0.1250 0.9463
O5 0.5296 0.8750 0.0537
O6 0.6787 0.6250 0.6546
O7 0.8213 0.4759 0.9463
O8 0.9704 0.0241 0.3454

Entry 7:
For Ac2NdSb3Rh6, the PBE geometry in Alexandria gives the simulated powder XRD pattern in this record (CuKα).
No peak broadening, texture or thermal motion is included.

Most intense lines, 2θ from 10° to 90°, in order of rising 2θ:
2θ (°)	d/Å	I/Imax
26.3	3.388	100
30.2	2.959	40
30.7	2.917	49
34.0	2.633	60
43.2	2.092	71
43.8	2.066	50
47.9	1.898	39
51.3	1.780	33

Atomic structure:
Cell: 4.1849 4.1849 17.3218 Å, 90.00 90.00 90.00°
Positions (direct):
Ac1 0.0000 0.0000 0.1592
Ac2 0.0000 0.0000 0.8408
Nd1 0.0000 0.0000 0.5000
Sb1 0.5000 0.5000 0.0000
Sb2 0.5000 0.5000 0.2957
Sb3 0.5000 0.5000 0.7043
Rh1 0.0000 0.5000 0.3799
Rh2 0.0000 0.5000 0.6201
Rh3 0.5000 0.0000 0.3799
Rh4 0.5000 0.0000 0.6201
Rh5 0.5000 0.5000 0.1470
Rh6 0.5000 0.5000 0.8530

Entry 8:
For Be2SiTc, the PBE geometry in Alexandria gives the simulated powder XRD pattern in this record (CuKα).
No peak broadening, texture or thermal motion is included.

Most intense lines, 2θ from 10° to 90°, in order of rising 2θ:
2θ (°)	d/Å	I/Imax
18.6	4.780	100
29.0	3.078	37
34.7	2.588	83
41.5	2.177	53
45.8	1.981	38
48.2	1.888	67
71.3	1.323	19
80.5	1.193	29

Atomic structure:
Cell: 3.0783 3.0783 4.7797 Å, 90.00 90.00 90.00°
Positions (direct):
Be1 0.0000 0.0000 0.0000
Be2 0.5000 0.5000 0.2306
Si1 0.0000 0.0000 0.4927
Tc1 0.5000 0.5000 0.7381

Entry 9:
For TbTmCu4, the PBE geometry in Alexandria gives the simulated powder XRD pattern in this record (CuKα).
No peak broadening, texture or thermal motion is included.

Most intense lines, 2θ from 10° to 90°, in order of rising 2θ:
2θ (°)	d/Å	I/Imax
24.1	3.691	22
34.9	2.572	38
35.9	2.499	100
36.1	2.489	40
42.3	2.138	32
42.7	2.118	41
56.8	1.622	21
69.7	1.350	18

Atomic structure:
Cell: 5.4297 5.4297 5.4297 Å, 133.62 102.56 95.32°
Positions (direct):
Tb1 0.0000 0.0000 0.0000
Tm1 0.5893 0.0893 0.5000
Cu1 0.0121 0.7109 0.3011
Cu2 0.1851 0.3819 0.8031
Cu3 0.4098 0.7109 0.6989
Cu4 0.5788 0.3819 0.1969

Entry 10:
For Bi4O5F2, the PBE geometry in Alexandria gives the simulated powder XRD pattern in this record (CuKα).
No peak broadening, texture or thermal motion is included.

Most intense lines, 2θ from 10° to 90°, in order of rising 2θ:
2θ (°)	d/Å	I/Imax
20.3	4.371	33
22.9	3.887	22
25.1	3.546	36
25.5	3.491	100
29.3	3.050	37
30.2	2.962	28
36.4	2.471	22
41.9	2.154	25

Atomic structure:
Cell: 5.9259 5.5953 14.0067 Å, 90.00 91.55 90.00°
Positions (direct):
Bi1 0.1990 0.2174 0.0465
Bi2 0.1990 0.2826 0.5465
Bi3 0.2286 0.6198 0.2826
Bi4 0.2286 0.8802 0.7826
Bi5 0.7714 0.1198 0.2174
Bi6 0.7714 0.3802 0.7174
Bi7 0.8010 0.7174 0.4535
Bi8 0.8010 0.7826 0.9535
O1 0.0000 0.0000 0.5000
O2 0.0000 0.5000 0.0000
O3 0.0831 0.0008 0.9140
O4 0.0831 0.4992 0.4140
O5 0.1117 0.1816 0.7050
O6 0.1117 0.3184 0.2050
O7 0.8883 0.6816 0.7950
O8 0.8883 0.8184 0.2950
O9 0.9169 0.5008 0.5860
O10 0.9169 0.9992 0.0860
F1 0.4733 0.6035 0.6498
F2 0.4733 0.8965 0.1498
F3 0.5267 0.1035 0.8502
F4 0.5267 0.3965 0.3502

Entry 11:
For Tb3Pm4Pb4, the PBE geometry in Alexandria gives the simulated powder XRD pattern in this record (CuKα).
No peak broadening, texture or thermal motion is included.

Most intense lines, 2θ from 10° to 90°, in order of rising 2θ:
2θ (°)	d/Å	I/Imax
30.7	2.908	83
31.2	2.868	100
32.3	2.773	91
33.3	2.694	62
34.0	2.640	61
38.4	2.345	46
45.3	2.002	37
56.9	1.619	36

Atomic structure:
Cell: 10.9989 10.9989 10.9989 Å, 161.14 127.26 56.51°
Positions (direct):
Tb1 0.0000 0.0000 0.0000
Tb2 0.4087 0.9087 0.5000
Tb3 0.5913 0.0913 0.5000
Pm1 0.0153 0.3382 0.6771
Pm2 0.3389 0.6618 0.6771
Pm3 0.6611 0.3382 0.3229
Pm4 0.9847 0.6618 0.3229
Pb1 0.2746 0.2746 0.0000
Pb2 0.2791 0.5000 0.7791
Pb3 0.7209 0.5000 0.2209
Pb4 0.7254 0.7254 0.0000

Entry 12:
For CsLaHgI6, the PBE geometry in Alexandria gives the simulated powder XRD pattern in this record (CuKα).
No peak broadening, texture or thermal motion is included.

Most intense lines, 2θ from 10° to 90°, in order of rising 2θ:
2θ (°)	d/Å	I/Imax
10.5	8.423	59
15.6	5.692	53
17.6	5.048	79
23.0	3.862	100
24.4	3.641	39
29.0	3.083	97
33.4	2.685	72
34.0	2.637	42

Atomic structure:
Cell: 8.4126 8.4126 8.5042 Å, 93.69 93.69 124.18°
Positions (direct):
Cs1 0.0000 0.0000 0.0000
La1 0.6700 0.3300 0.5000
Hg1 0.3742 0.6258 0.5000
I1 0.0285 0.4254 0.2943
I2 0.3421 0.3191 0.6808
I3 0.4431 0.0234 0.2076
I4 0.5746 0.9715 0.7057
I5 0.6809 0.6579 0.3192
I6 0.9766 0.5569 0.7924